The following is a simulated X-ray powder pattern of MnAg2HgF8. It was derived from a crystal structure in Alexandria, relaxed with PBE+U, using copper Kα.
Neutral-atom scattering factors, no anomalous dispersion.

Crystal structure
```
data_MnAg2HgF8
_chemical_formula_sum 'Mn2 Ag4 Hg2 F16'
_symmetry_space_group_name_H-M 'I -4 m 2'
_symmetry_Int_Tables_number 119
_symmetry_space_group_name_Hall 'I -4 -2'
_cell_length_a 6.837
_cell_length_b 6.837
_cell_length_c 8.205
_cell_angle_alpha 90.00
_cell_angle_beta 90.00
_cell_angle_gamma 90.00
loop_
_atom_site_label
_atom_site_type_symbol
_atom_site_fract_x
_atom_site_fract_y
_atom_site_fract_z
_atom_site_occupancy
Mn1 Mn 0.000 0.000 0.000 1
Ag1 Ag 0.000 0.000 0.500 1
Ag2 Ag 0.000 0.500 0.750 1
Hg1 Hg 0.000 0.500 0.250 1
F1 F 0.000 0.186 0.282 1
F2 F 0.000 0.274 0.964 1
```

Largest 10 diffraction maxima, sorted by position, 5 to 70 degrees two-theta:
| hkl | two_theta | I (rel.) |
| --- | --- | --- |
| 1 0 1 | 16.88 | 19 |
| 2 0 0 | 26.07 | 80 |
| 1 1 2 | 28.54 | 100 |
| 2 2 0 | 37.20 | 16 |
| 0 0 4 | 44.15 | 13 |
| 3 1 2 | 47.54 | 65 |
| 2 0 4 | 51.99 | 23 |
| 4 0 0 | 53.62 | 14 |
| 4 2 0 | 60.57 | 12 |
| 3 3 2 | 61.86 | 18 |